(1)
The following is a simulated powder XRD pattern of NaMnBi. It was derived from a structure optimized by DFT (PBE), using Cu Kα (weighted mean of Kα1 and Kα2).
Neutral-atom scattering factors, no anomalous dispersion.

Structural model:
Lattice parameters (Å, degrees): 4.5249 4.5249 7.7854 90.00 90.00 90.00
Space group P4/nmm (No. 129, origin choice 2)
Unique sites:
Na1 0.2500 0.2500 0.1515 (multiplicity 2)
Mn1 0.2500 0.7500 0.5000 (multiplicity 2)
Bi1 0.2500 0.2500 0.7255 (multiplicity 2)

Main lines, sorted by position (2θ from 10° to 80°):
Position (°2θ)	Rel. int.
11.4	21
22.7	100
22.8	16
27.9	27
36.3	63
39.8	29
40.1	26
46.4	43
57.8	18
70.1	18



(2)
The following is a simulated powder XRD pattern of Mn5Bi4Pd2. It was derived from a structure optimized by DFT (PBE), using Cu Kα (weighted mean of Kα1 and Kα2).
Neutral-atom scattering factors, no anomalous dispersion.

Structural model:
Lattice parameters (Å, degrees): 12.3677 12.3677 12.3677 90.00 90.00 90.00
Space group F-43m (No. 216)
Unique sites:
Mn1 0.0000 0.0000 0.2494 (multiplicity 24)
Mn2 0.1523 0.1523 0.8477 (multiplicity 16)
Bi1 0.0000 0.0000 0.0000 (multiplicity 4)
Bi2 0.0000 0.0000 0.5000 (multiplicity 4)
Bi3 0.0403 0.2500 0.2500 (multiplicity 24)
Pd1 0.1320 0.1320 0.6320 (multiplicity 16)

Main lines, sorted by position (2θ from 10° to 80°):
Position (°2θ)	Rel. int.
24.9	72
28.9	40
31.5	32
37.8	61
41.3	100
48.8	23
57.2	19
61.4	15
69.7	15
75.3	15



(3)
The following is a simulated powder XRD pattern of Pr3MnBi5. It was derived from a structure optimized by DFT (PBE), using Cu Kα (weighted mean of Kα1 and Kα2).
Neutral-atom scattering factors, no anomalous dispersion.

Structural model:
Lattice parameters (Å, degrees): 9.7292 9.7292 6.5302 90.00 90.00 120.00
Space group P6_3/mcm (No. 193)
Unique sites:
Pr1 0.0000 0.3794 0.2500 (multiplicity 6)
Mn1 0.0000 0.0000 0.0000 (multiplicity 2)
Bi1 0.0000 0.2543 0.7500 (multiplicity 6)
Bi2 0.3333 0.6667 0.0000 (multiplicity 4)

Main lines, sorted by position (2θ from 10° to 80°):
Position (°2θ)	Rel. int.
28.0	23
29.3	14
31.2	90
31.9	75
33.0	100
46.6	32
49.2	19
50.8	24
51.6	16
66.2	19



(4)
The following is a simulated powder XRD pattern of Rb2MnBi2. It was derived from a structure optimized by DFT (PBE), using Cu Kα (weighted mean of Kα1 and Kα2).
Neutral-atom scattering factors, no anomalous dispersion.

Structural model:
Lattice parameters (Å, degrees): 3.7412 3.7412 16.9359 90.00 90.00 90.00
Space group P4/mmm (No. 123)
Unique sites:
Rb1 0.0000 0.0000 0.1356 (multiplicity 2)
Mn1 0.0000 0.0000 0.5000 (multiplicity 1)
Bi1 0.0000 0.0000 0.3428 (multiplicity 2)

Main lines, sorted by position (2θ from 10° to 80°):
Position (°2θ)	Rel. int.
21.0	25
23.8	100
31.7	15
31.9	36
33.9	41
40.0	33
40.2	20
47.1	21
54.9	21
64.8	16



(5)
The following is a simulated powder XRD pattern of MnBi4S7. It was derived from a structure optimized by DFT (PBE), using Cu Kα (weighted mean of Kα1 and Kα2).
Neutral-atom scattering factors, no anomalous dispersion.

Structural model:
Lattice parameters (Å, degrees): 12.9800 3.9941 12.0162 90.00 104.90 90.00
Space group C2/m (No. 12)
Unique sites:
Mn1 0.0000 0.0000 0.0000 (multiplicity 2)
Bi1 0.1197 0.0000 0.4243 (multiplicity 4)
Bi2 0.1824 0.5000 0.8400 (multiplicity 4)
S1 0.0000 0.5000 0.5000 (multiplicity 2)
S2 0.0319 0.0000 0.8066 (multiplicity 4)
S3 0.1474 0.5000 0.0480 (multiplicity 4)
S4 0.2428 0.5000 0.3579 (multiplicity 4)

Main lines, sorted by position (2θ from 10° to 80°):
Position (°2θ)	Rel. int.
18.0	48
23.4	96
23.7	50
25.2	100
27.5	33
30.5	66
32.1	77
33.3	37
45.4	32
47.2	34



(6)
The following is a simulated powder XRD pattern of Sm2Mn3Bi6. It was derived from a structure optimized by DFT (PBE), using Cu Kα (weighted mean of Kα1 and Kα2).
Neutral-atom scattering factors, no anomalous dispersion.

Structural model:
Lattice parameters (Å, degrees): 10.3166 4.4619 13.3304 90.00 106.53 90.00
Space group P2_1/m (No. 11)
Unique sites:
Sm1 0.0655 0.2500 0.3209 (multiplicity 2)
Sm2 0.2529 0.7500 0.9824 (multiplicity 2)
Mn1 0.2980 0.7500 0.7137 (multiplicity 2)
Mn2 0.4614 0.2500 0.3394 (multiplicity 2)
Mn3 0.4640 0.2500 0.7624 (multiplicity 2)
Bi1 0.0823 0.2500 0.0787 (multiplicity 2)
Bi2 0.1177 0.7500 0.5111 (multiplicity 2)
Bi3 0.1743 0.2500 0.7895 (multiplicity 2)
Bi4 0.2716 0.7500 0.2554 (multiplicity 2)
Bi5 0.3790 0.2500 0.5377 (multiplicity 2)
Bi6 0.4761 0.2500 0.1072 (multiplicity 2)

Main lines, sorted by position (2θ from 10° to 80°):
Position (°2θ)	Rel. int.
27.9	61
29.0	38
29.1	100
33.8	39
34.5	41
35.0	26
35.6	32
37.6	16
40.4	49
54.5	15



(7)
The following is a simulated powder XRD pattern of SrMnBi2. It was derived from a structure optimized by DFT (PBE), using Cu Kα (weighted mean of Kα1 and Kα2).
Neutral-atom scattering factors, no anomalous dispersion.

Structural model:
Lattice parameters (Å, degrees): 4.6072 4.6072 22.8821 90.00 90.00 90.00
Space group I4/mmm (No. 139)
Unique sites:
Sr1 0.0000 0.0000 0.1176 (multiplicity 4)
Mn1 0.0000 0.5000 0.2500 (multiplicity 4)
Bi1 0.0000 0.0000 0.3225 (multiplicity 4)
Bi2 0.0000 0.5000 0.0000 (multiplicity 4)

Main lines, sorted by position (2θ from 10° to 80°):
Position (°2θ)	Rel. int.
22.5	31
23.3	32
27.5	48
28.5	58
31.6	100
39.1	55
42.0	38
46.0	23
48.5	21
66.2	24



(8)
The following is a simulated powder XRD pattern of SrMnBi2. It was derived from a structure optimized by DFT (PBE), using Cu Kα (weighted mean of Kα1 and Kα2).
Neutral-atom scattering factors, no anomalous dispersion.

Structural model:
Lattice parameters (Å, degrees): 4.6554 9.2353 11.7752 78.57 78.70 89.99
Space group P1 (No. 1)
Unique sites:
Sr1 0.0000 0.0000 0.0000 (multiplicity 1)
Sr2 0.9999 0.4993 0.0001 (multiplicity 1)
Sr3 0.2394 0.1209 0.5210 (multiplicity 1)
Sr4 0.2393 0.6210 0.5211 (multiplicity 1)
Mn1 0.3695 0.4326 0.2616 (multiplicity 1)
Mn2 0.3688 0.9317 0.2615 (multiplicity 1)
Mn3 0.8680 0.1877 0.2603 (multiplicity 1)
Mn4 0.8682 0.6883 0.2592 (multiplicity 1)
Bi1 0.0961 0.3100 0.7606 (multiplicity 1)
Bi2 0.0961 0.8100 0.7606 (multiplicity 1)
Bi3 0.4403 0.2196 0.1153 (multiplicity 1)
Bi4 0.4404 0.7200 0.1142 (multiplicity 1)
Bi5 0.6303 0.0608 0.7605 (multiplicity 1)
Bi6 0.6302 0.5608 0.7606 (multiplicity 1)
Bi7 0.7974 0.4010 0.4065 (multiplicity 1)
Bi8 0.7973 0.9002 0.4063 (multiplicity 1)

Main lines, sorted by position (2θ from 10° to 80°):
Position (°2θ)	Rel. int.
23.6	32
27.5	23
27.6	22
28.3	58
31.5	100
38.7	27
39.0	27
42.2	28
56.1	19
64.3	16



(9)
The following is a simulated powder XRD pattern of Zr6MnBi2. It was derived from a structure optimized by DFT (PBE), using Cu Kα (weighted mean of Kα1 and Kα2).
Neutral-atom scattering factors, no anomalous dispersion.

Structural model:
Lattice parameters (Å, degrees): 7.9670 7.9670 3.7058 90.00 90.00 120.00
Space group P-62m (No. 189)
Unique sites:
Zr1 0.0000 0.2364 0.0000 (multiplicity 3)
Zr2 0.0000 0.6094 0.5000 (multiplicity 3)
Mn1 0.0000 0.0000 0.5000 (multiplicity 1)
Bi1 0.3333 0.6667 0.0000 (multiplicity 2)

Main lines, sorted by position (2θ from 10° to 80°):
Position (°2θ)	Rel. int.
22.3	30
33.0	100
34.4	49
35.6	62
39.2	49
42.4	44
49.2	18
64.0	24
64.6	23
67.1	27



(10)
The following is a simulated powder XRD pattern of Bi10Mo3. It was derived from a structure optimized by DFT (PBE), using Cu Kα (weighted mean of Kα1 and Kα2).
Neutral-atom scattering factors, no anomalous dispersion.

Structural model:
Lattice parameters (Å, degrees): 20.0179 4.9063 7.4186 90.00 97.90 90.00
Space group C2/m (No. 12)
Unique sites:
Bi1 0.0285 0.0000 0.2247 (multiplicity 4)
Bi2 0.0715 0.5000 0.6824 (multiplicity 4)
Bi3 0.1388 0.5000 0.1713 (multiplicity 4)
Bi4 0.1749 0.0000 0.5806 (multiplicity 4)
Bi5 0.2369 0.5000 0.8429 (multiplicity 4)
Mo1 0.0000 0.5000 0.0000 (multiplicity 2)
Mo2 0.1220 0.0000 0.9232 (multiplicity 4)

Main lines, sorted by position (2θ from 10° to 80°):
Position (°2θ)	Rel. int.
24.7	13
27.0	21
30.2	26
31.9	87
32.7	100
36.6	87
41.8	19
52.8	28
63.5	18
77.9	15



(11)
The following is a simulated powder XRD pattern of Bi14Mo5. It was derived from a structure optimized by DFT (PBE), using Cu Kα (weighted mean of Kα1 and Kα2).
Neutral-atom scattering factors, no anomalous dispersion.

Structural model:
Lattice parameters (Å, degrees): 29.3843 4.9450 7.3546 90.00 101.45 90.00
Space group C2/m (No. 12)
Unique sites:
Bi1 0.0186 0.0000 0.2362 (multiplicity 4)
Bi2 0.0582 0.5000 0.7203 (multiplicity 4)
Bi3 0.0978 0.5000 0.1876 (multiplicity 4)
Bi4 0.1265 0.0000 0.6541 (multiplicity 4)
Bi5 0.1738 0.0000 0.1566 (multiplicity 4)
Bi6 0.1952 0.5000 0.5666 (multiplicity 4)
Bi7 0.2419 0.0000 0.8377 (multiplicity 4)
Mo1 0.0000 0.5000 0.0000 (multiplicity 2)
Mo2 0.0802 0.0000 0.9615 (multiplicity 4)
Mo3 0.1625 0.5000 0.9064 (multiplicity 4)

Main lines, sorted by position (2θ from 10° to 80°):
Position (°2θ)	Rel. int.
26.7	26
28.2	20
29.0	23
32.1	86
32.6	100
36.3	55
37.1	36
41.9	29
52.9	26
63.0	18



(12)
The following is a simulated powder XRD pattern of BiN. It was derived from a structure optimized by DFT (PBE), using Cu Kα (weighted mean of Kα1 and Kα2).
Neutral-atom scattering factors, no anomalous dispersion.

Structural model:
Lattice parameters (Å, degrees): 3.6943 5.4368 3.7422 90.00 95.42 90.00
Space group P2_1 (No. 4)
Unique sites:
Bi1 0.2257 0.0000 0.2762 (multiplicity 2)
N1 0.1823 0.4155 0.3218 (multiplicity 2)

Main lines, sorted by position (2θ from 10° to 80°):
Position (°2θ)	Rel. int.
29.1	100
29.3	98
32.6	43
32.9	45
35.9	38
47.0	30
49.5	42
56.5	18
56.6	18
60.2	28



(13)
The following is a simulated powder XRD pattern of BiN. It was derived from a structure optimized by DFT (PBE), using Cu Kα (weighted mean of Kα1 and Kα2).
Neutral-atom scattering factors, no anomalous dispersion.

Structural model:
Lattice parameters (Å, degrees): 3.6943 3.7422 5.4368 89.94 89.17 84.58
Space group P1 (No. 1)
Unique sites:
Bi1 0.0000 0.0000 0.0000 (multiplicity 1)
Bi2 0.4513 0.4476 0.4985 (multiplicity 1)
N1 0.0434 0.0456 0.5845 (multiplicity 1)
N2 0.4156 0.3946 0.0831 (multiplicity 1)

Main lines, sorted by position (2θ from 10° to 80°):
Position (°2θ)	Rel. int.
29.1	100
29.5	32
32.6	28
33.0	30
35.9	25
46.7	10
47.3	10
49.3	10
56.5	17
60.4	14